# Tl2GaHg6
Computed XRD peak list, Cu Kα (weighted mean of Kα1 and Kα2). Input: a GGA-PBE-relaxed structure.
Neutral-atom scattering factors, no anomalous dispersion.

Principal peaks in the range 15 to 90 degrees two-theta, low angle first:
(hkl), Position (°2θ), I_rel
1 1 1, 31.3, 100
2 1 0, 31.5, 36
2 0 1, 33.6, 35
3 0 0, 35.8, 59
3 2 1, 58.8, 24
3 0 2, 61.3, 25

Cell and atoms:
abc: 8.6885 8.6885 3.7924
angles: 90.00 90.00 120.00
Space group P-62m (No. 189)
Unique sites:
Tl: 0.3333 0.6667 0.0000 x2
Ga: 0.0000 0.0000 0.5000 x1
Hg: 0.0000 0.2661 0.0000 x3
Hg: 0.0000 0.6283 0.5000 x3

=====

# TlGaHg2
Computed XRD peak list, Cu Kα (weighted mean of Kα1 and Kα2). Input: a GGA-PBE-relaxed structure.
Neutral-atom scattering factors, no anomalous dispersion.

Principal peaks in the range 15 to 90 degrees two-theta, low angle first:
(hkl), Position (°2θ), I_rel
1 1 -1, 27.1, 49
0 0 3, 29.2, 41
1 1 2, 33.7, 100
2 0 -1, 35.1, 46
1 1 -3, 38.0, 62
0 2 0, 39.2, 47

Cell and atoms:
abc: 5.1970 4.5950 9.2242
angles: 90.00 96.05 90.00
Space group P2_1/m (No. 11)
Unique sites:
Tl: 0.0620 0.2500 0.1319 x2
Ga: 0.3660 0.7500 0.6588 x2
Hg: 0.1922 0.2500 0.4885 x2
Hg: 0.4593 0.2500 0.8611 x2

=====

# TlGaHg14
Computed XRD peak list, Cu Kα (weighted mean of Kα1 and Kα2). Input: a GGA-PBE-relaxed structure.
Neutral-atom scattering factors, no anomalous dispersion.

Principal peaks in the range 15 to 90 degrees two-theta, low angle first:
(hkl), Position (°2θ), I_rel
0 2 2, 30.0, 27
4 0 0, 33.5, 37
2 0 4, 34.1, 55
2 2 2, 34.5, 100
0 2 6, 52.8, 20
4 2 6, 64.0, 22

Cell and atoms:
abc: 10.7042 6.8374 12.0713
angles: 90.00 90.00 90.00
Space group Amm2 (No. 38)
Unique sites:
Tl: 0.0000 0.0000 0.0000 x2
Ga: 0.0000 0.0000 0.4641 x2
Hg: 0.0000 0.2480 0.7422 x4
Hg: 0.2381 0.0000 0.6483 x4
Hg: 0.2549 0.2504 0.4067 x8
Hg: 0.2597 0.0000 0.1631 x4
Hg: 0.5000 0.0000 0.4937 x2
Hg: 0.5000 0.0000 0.9983 x2
Hg: 0.5000 0.2369 0.7434 x4

=====

# TmGaHg2
Computed XRD peak list, Cu Kα (weighted mean of Kα1 and Kα2). Input: a GGA-PBE-relaxed structure.
Neutral-atom scattering factors, no anomalous dispersion.

Principal peaks in the range 15 to 90 degrees two-theta, low angle first:
(hkl), Position (°2θ), I_rel
1 1 0, 33.8, 61
1 0 2, 36.4, 100
2 0 0, 48.5, 22
2 1 2, 62.1, 43
1 1 4, 67.1, 17
2 0 4, 77.3, 11

Cell and atoms:
abc: 3.7514 3.7514 6.5633
angles: 90.00 90.00 90.00
Space group P4/mmm (No. 123)
Unique sites:
Tm: 0.0000 0.0000 0.0000 x1
Ga: 0.0000 0.0000 0.5000 x1
Hg: 0.5000 0.5000 0.2583 x2

=====

# Tm2GaHg3
Computed XRD peak list, Cu Kα (weighted mean of Kα1 and Kα2). Input: a GGA-PBE-relaxed structure.
Neutral-atom scattering factors, no anomalous dispersion.

Principal peaks in the range 15 to 90 degrees two-theta, low angle first:
(hkl), Position (°2θ), I_rel
1 1 2, 33.5, 100
1 0 5, 34.5, 58
0 1 7, 39.4, 55
0 2 0, 41.0, 28
2 0 0, 50.7, 25
1 2 5, 54.6, 32

Cell and atoms:
abc: 3.6017 4.4040 18.7560
angles: 90.00 90.00 90.00
Space group Imm2 (No. 44)
Unique sites:
Tm: 0.0000 0.0000 0.0000 x2
Tm: 0.0000 0.5000 0.2152 x2
Ga: 0.0000 0.0000 0.5653 x2
Hg: 0.0000 0.0000 0.4184 x2
Hg: 0.0000 0.5000 0.6439 x2
Hg: 0.0000 0.5000 0.8003 x2

=====

# Tm3Ga3Hg2
Computed XRD peak list, Cu Kα (weighted mean of Kα1 and Kα2). Input: a GGA-PBE-relaxed structure.
Neutral-atom scattering factors, no anomalous dispersion.

Principal peaks in the range 15 to 90 degrees two-theta, low angle first:
(hkl), Position (°2θ), I_rel
1 1 3, 28.5, 30
1 3 1, 32.3, 57
1 1 4, 32.9, 84
0 4 1, 33.2, 29
1 3 3, 36.9, 100
2 0 0, 40.6, 49

Cell and atoms:
abc: 4.4408 10.9928 14.4821
angles: 90.00 90.00 90.00
Space group Cmcm (No. 63)
Unique sites:
Tm: 0.0000 0.0741 0.1160 x8
Tm: 0.0000 0.3478 0.2500 x4
Ga: 0.0000 0.3761 0.7500 x4
Ga: 0.0000 0.4027 0.0460 x8
Hg: 0.0000 0.2179 0.5986 x8